[1]
Diffraction record for PmNdSe2Cl2. The powder diffractogram is simulated, not measured: it uses a crystal structure in OQMD, relaxed with PBE and Cu Kα (λ = 1.5418 Å).

Most intense lines, 5 to 70 degrees two-theta, low angle first:
d (Å)  Position (°2θ)  Rel. int.
6.727  13.2  51
4.120  21.6  100
3.686  24.1  29
2.826  31.7  42
2.606  34.4  76
2.485  36.2  62
2.203  41.0  39
1.916  47.5  62

Structural model:
```
data_PmNdSe2Cl2
_space_group_name_H-M_alt 'P 1'
_space_group_IT_number 1
_cell_length_a 5.212
_cell_length_b 5.212
_cell_length_c 6.727
_cell_angle_alpha 90.00
_cell_angle_beta 90.00
_cell_angle_gamma 90.00
loop_
_space_group_symop_operation_xyz
'x,y,z'
loop_
_atom_site_label
_atom_site_fract_x
_atom_site_fract_y
_atom_site_fract_z
Pm1 0.000 0.000 0.000
Nd1 0.500 0.500 0.607
Se1 0.000 0.500 0.806
Se2 0.500 0.000 0.806
Cl1 0.000 0.000 0.391
Cl2 0.500 0.500 0.213
```

=====

[2]
Diffraction record for Nd7S6Cl9. The powder diffractogram is simulated, not measured: it uses a crystal structure in OQMD, relaxed with PBE and Cu Kα (λ = 1.5418 Å).

Most intense lines, 5 to 70 degrees two-theta, low angle first:
d (Å)  Position (°2θ)  Rel. int.
3.978  22.3  100
3.958  22.5  91
3.466  25.7  25
2.773  32.3  42
2.469  36.4  26
2.419  37.2  30
2.412  37.3  42
2.090  43.3  32

Structural model:
```
data_Nd7S6Cl9
_space_group_name_H-M_alt 'P 1'
_space_group_IT_number 1
_cell_length_a 24.490
_cell_length_b 6.716
_cell_length_c 6.978
_cell_angle_alpha 90.00
_cell_angle_beta 97.73
_cell_angle_gamma 90.00
loop_
_space_group_symop_operation_xyz
'x,y,z'
loop_
_atom_site_label
_atom_site_fract_x
_atom_site_fract_y
_atom_site_fract_z
Nd1 0.000 0.212 0.250
Nd2 0.000 0.788 0.750
Nd3 0.143 0.197 0.877
Nd4 0.143 0.803 0.377
Nd5 0.284 0.195 0.363
Nd6 0.284 0.805 0.863
Nd7 0.421 0.218 0.006
Nd8 0.421 0.782 0.506
Nd9 0.579 0.218 0.494
Nd10 0.579 0.782 0.994
Nd11 0.716 0.195 0.137
Nd12 0.716 0.805 0.637
Nd13 0.857 0.197 0.623
Nd14 0.857 0.803 0.123
S1 0.071 0.035 0.575
S2 0.071 0.965 0.075
S3 0.216 0.053 0.618
S4 0.216 0.947 0.118
S5 0.360 0.052 0.687
S6 0.360 0.948 0.187
S7 0.640 0.052 0.813
S8 0.640 0.948 0.313
S9 0.784 0.053 0.882
S10 0.784 0.947 0.382
S11 0.929 0.035 0.925
S12 0.929 0.965 0.425
Cl1 0.060 0.458 0.939
Cl2 0.060 0.542 0.439
Cl3 0.189 0.434 0.231
Cl4 0.189 0.566 0.731
Cl5 0.320 0.417 0.032
Cl6 0.320 0.583 0.532
Cl7 0.443 0.391 0.381
Cl8 0.443 0.609 0.881
Cl9 0.500 0.052 0.750
Cl10 0.500 0.948 0.250
Cl11 0.557 0.391 0.119
Cl12 0.557 0.609 0.619
Cl13 0.680 0.417 0.468
Cl14 0.680 0.583 0.968
Cl15 0.811 0.434 0.269
Cl16 0.811 0.566 0.769
Cl17 0.940 0.458 0.561
Cl18 0.940 0.542 0.061
```

=====

[3]
Diffraction record for NdSmSbCl2. The powder diffractogram is simulated, not measured: it uses a crystal structure in OQMD, relaxed with PBE and Cu Kα (λ = 1.5418 Å).

Most intense lines, 5 to 70 degrees two-theta, low angle first:
d (Å)  Position (°2θ)  Rel. int.
10.724  8.2  100
3.507  25.4  27
3.052  29.3  74
2.575  34.8  22
2.173  41.6  29
2.143  42.2  29
2.101  43.1  12
1.754  52.2  14

Structural model:
```
data_NdSmSbCl2
_space_group_name_H-M_alt 'P 1'
_space_group_IT_number 1
_cell_length_a 4.285
_cell_length_b 4.285
_cell_length_c 10.724
_cell_angle_alpha 90.00
_cell_angle_beta 90.00
_cell_angle_gamma 120.00
loop_
_space_group_symop_operation_xyz
'x,y,z'
loop_
_atom_site_label
_atom_site_fract_x
_atom_site_fract_y
_atom_site_fract_z
Nd1 0.000 0.000 0.000
Sm1 0.667 0.333 0.661
Sb1 0.333 0.667 0.828
Cl1 0.000 0.000 0.518
Cl2 0.667 0.333 0.147
```

=====

[4]
Diffraction record for NiCl3. The powder diffractogram is simulated, not measured: it uses a crystal structure in OQMD, relaxed with PBE and Cu Kα (λ = 1.5418 Å).

Most intense lines, 5 to 70 degrees two-theta, low angle first:
d (Å)  Position (°2θ)  Rel. int.
5.266  16.8  100
2.681  33.4  41
2.500  35.9  11
2.076  43.6  32
1.931  47.1  15
1.755  52.1  16
1.630  56.4  13
1.608  57.3  7

Structural model:
```
data_NiCl3
_space_group_name_H-M_alt 'P 1'
_space_group_IT_number 1
_cell_length_a 6.081
_cell_length_b 6.081
_cell_length_c 5.682
_cell_angle_alpha 90.00
_cell_angle_beta 90.00
_cell_angle_gamma 120.00
loop_
_space_group_symop_operation_xyz
'x,y,z'
loop_
_atom_site_label
_atom_site_fract_x
_atom_site_fract_y
_atom_site_fract_z
Ni1 0.000 0.000 0.000
Ni2 0.000 0.000 0.500
Cl1 0.000 0.296 0.250
Cl2 0.000 0.704 0.750
Cl3 0.296 0.000 0.250
Cl4 0.296 0.296 0.750
Cl5 0.704 0.000 0.750
Cl6 0.704 0.704 0.250
```

=====

[5]
Diffraction record for NiCl3. The powder diffractogram is simulated, not measured: it uses a crystal structure in OQMD, relaxed with PBE and Cu Kα (λ = 1.5418 Å).

Most intense lines, 5 to 70 degrees two-theta, low angle first:
d (Å)  Position (°2θ)  Rel. int.
5.920  15.0  91
5.109  17.4  48
3.868  23.0  31
2.640  34.0  100
2.089  43.3  62
1.703  53.8  28
1.641  56.1  18
1.638  56.2  18

Structural model:
```
data_NiCl3
_space_group_name_H-M_alt 'P 1'
_space_group_IT_number 1
_cell_length_a 5.904
_cell_length_b 10.209
_cell_length_c 5.920
_cell_angle_alpha 90.00
_cell_angle_beta 90.10
_cell_angle_gamma 90.00
loop_
_space_group_symop_operation_xyz
'x,y,z'
loop_
_atom_site_label
_atom_site_fract_x
_atom_site_fract_y
_atom_site_fract_z
Ni1 0.000 0.167 0.000
Ni2 0.000 0.833 0.000
Ni3 0.500 0.333 0.000
Ni4 0.500 0.667 0.000
Cl1 0.138 0.000 0.219
Cl2 0.181 0.319 0.219
Cl3 0.181 0.681 0.219
Cl4 0.319 0.181 0.781
Cl5 0.319 0.819 0.781
Cl6 0.362 0.500 0.781
Cl7 0.638 0.500 0.219
Cl8 0.681 0.181 0.219
Cl9 0.681 0.819 0.219
Cl10 0.819 0.319 0.781
Cl11 0.819 0.681 0.781
Cl12 0.862 0.000 0.781
```

=====

[6]
Diffraction record for RbNiCl3. The powder diffractogram is simulated, not measured: it uses a crystal structure in OQMD, relaxed with PBE and Cu Kα (λ = 1.5418 Å).

Most intense lines, 5 to 70 degrees two-theta, low angle first:
d (Å)  Position (°2θ)  Rel. int.
6.050  14.6  33
4.219  21.1  24
3.493  25.5  48
2.691  33.3  100
2.647  33.9  24
2.110  42.9  44
1.806  50.5  23
1.747  52.4  29

Structural model:
```
data_RbNiCl3
_space_group_name_H-M_alt 'P 1'
_space_group_IT_number 1
_cell_length_a 6.986
_cell_length_b 6.986
_cell_length_c 5.887
_cell_angle_alpha 90.00
_cell_angle_beta 90.00
_cell_angle_gamma 120.00
loop_
_space_group_symop_operation_xyz
'x,y,z'
loop_
_atom_site_label
_atom_site_fract_x
_atom_site_fract_y
_atom_site_fract_z
Rb1 0.333 0.667 0.250
Rb2 0.667 0.333 0.750
Ni1 0.000 0.000 0.000
Ni2 0.000 0.000 0.500
Cl1 0.158 0.315 0.750
Cl2 0.158 0.842 0.750
Cl3 0.315 0.158 0.250
Cl4 0.685 0.842 0.750
Cl5 0.842 0.158 0.250
Cl6 0.842 0.685 0.250
```

=====

[7]
Diffraction record for NiS8Cl2. The powder diffractogram is simulated, not measured: it uses a crystal structure in OQMD, relaxed with PBE and Cu Kα (λ = 1.5418 Å).

Most intense lines, 5 to 70 degrees two-theta, low angle first:
d (Å)  Position (°2θ)  Rel. int.
5.610  15.8  88
4.873  18.2  35
3.462  25.7  35
3.430  26.0  75
2.805  31.9  58
2.188  41.3  100
1.715  53.4  47
1.624  56.7  44

Structural model:
```
data_NiS8Cl2
_space_group_name_H-M_alt 'P 1'
_space_group_IT_number 1
_cell_length_a 6.925
_cell_length_b 6.925
_cell_length_c 6.925
_cell_angle_alpha 59.38
_cell_angle_beta 59.38
_cell_angle_gamma 59.38
loop_
_space_group_symop_operation_xyz
'x,y,z'
loop_
_atom_site_label
_atom_site_fract_x
_atom_site_fract_y
_atom_site_fract_z
Ni1 0.000 0.000 0.000
S1 0.169 0.169 0.169
S2 0.191 0.760 0.760
S3 0.240 0.240 0.809
S4 0.240 0.809 0.240
S5 0.760 0.191 0.760
S6 0.760 0.760 0.191
S7 0.809 0.240 0.240
S8 0.831 0.831 0.831
Cl1 0.348 0.348 0.348
Cl2 0.652 0.652 0.652
```